(1)
For PmDy2YHo2, a structure optimized by DFT (PBE) gives the calculated powder diffraction line list in this record (a wavelength of 1.5418 Å).

Top 8 peaks for 10° ≤ 2θ ≤ 90°, low angle first:
Position (°2θ), intensity
26.7, 33
27.1, 17
29.0, 55
30.4, 100
33.4, 27
34.0, 34
41.2, 68
65.0, 23

Structure:
a = 6.584 Å, b = 17.632 Å, c = 3.395 Å
α = 90.00°, β = 90.00°, γ = 90.00°
Space group Pnnm (No. 58)
Inequivalent atoms, fractional coordinates:
Pm (0.000, 0.000, 0.000) x2
Dy (0.229, 0.350, 0.500) x4
Y (0.000, 0.500, 0.000) x2
Ho (0.232, 0.182, 0.000) x4



(2)
For PrDyHo, a structure optimized by DFT (PBE) gives the calculated powder diffraction line list in this record (a wavelength of 1.5418 Å).

Top 8 peaks for 10° ≤ 2θ ≤ 90°, low angle first:
Position (°2θ), intensity
30.5, 100
35.3, 34
35.4, 17
50.8, 24
50.9, 12
60.3, 14
60.4, 21
63.4, 12

Structure:
a = 5.072 Å, b = 5.096 Å, c = 8.037 Å
α = 90.00°, β = 108.45°, γ = 90.00°
Space group P2_1/m (No. 11)
Inequivalent atoms, fractional coordinates:
Pr (0.084, 0.250, 0.168) x2
Dy (0.415, 0.250, 0.830) x2
Ho (0.249, 0.750, 0.499) x2